[1]
Li9Mn2Co5O16: simulated X-ray diffraction stick pattern (Cu Ka), based on a PBE+U-relaxed structure.

Principal peaks in the range 2θ = 10–90°, by angle:
2θ/deg  intensity
18.3  100
36.0  26
36.2  13
37.8  7
43.4  54
44.0  25
47.8  9
57.1  10
63.1  14
63.8  21

Crystal structure
```
data_Li9Mn2Co5O16
_symmetry_space_group_name_H-M 'C 1 m 1'
_symmetry_Int_Tables_number 8
_cell_length_a 20.7763
_cell_length_b 2.9177
_cell_length_c 9.8938
_cell_angle_alpha 90.00
_cell_angle_beta 107.16
_cell_angle_gamma 90.00
loop_
_symmetry_equiv_pos_as_xyz
'x,y,z'
'x,-y,z'
'x+1/2,y+1/2,z'
'x+1/2,-y+1/2,z'
loop_
_atom_site_label
_atom_site_fract_x
_atom_site_fract_y
_atom_site_fract_z
_atom_site_occupancy
Li1 0.0000 0.0000 0.0000 1
Li2 0.0000 0.5000 0.4701 1
Li3 0.1270 0.5000 0.1266 1
Li4 0.1316 0.0000 0.5951 1
Li5 0.1887 0.5000 0.4273 1
Li6 0.2447 0.0000 0.2391 1
Li7 0.2497 0.5000 0.7293 1
Li8 0.3758 0.5000 0.3576 1
Li9 0.3766 0.0000 0.8720 1
Mn1 0.0599 0.5000 0.7937 1
Mn2 0.3110 0.0000 0.5504 1
Co1 0.0730 0.0000 0.3074 1
Co2 0.1901 0.0000 0.9243 1
Co3 0.3149 0.5000 0.0549 1
Co4 0.4368 0.5000 0.6730 1
Co5 0.4424 0.0000 0.1782 1
O1 0.0288 0.0000 0.6584 1
O2 0.0293 0.5000 0.1498 1
O3 0.0876 0.0000 0.9296 1
O4 0.0924 0.5000 0.4485 1
O5 0.1495 0.5000 0.7751 1
O6 0.1524 0.0000 0.2662 1
O7 0.2156 0.5000 0.0653 1
O8 0.2295 0.0000 0.5844 1
O9 0.2792 0.0000 0.9018 1
O10 0.2885 0.5000 0.4161 1
O11 0.3445 0.0000 0.1994 1
O12 0.3474 0.5000 0.6904 1
O13 0.4057 0.5000 0.0240 1
O14 0.4073 0.0000 0.5402 1
O15 0.4684 0.0000 0.8092 1
O16 0.4685 0.5000 0.3232 1
```



[2]
WBr4O: simulated X-ray diffraction stick pattern (Cu Ka), based on a PBE+U-relaxed structure.

Principal peaks in the range 2θ = 10–90°, by angle:
2θ/deg  intensity
12.5  100
17.6  23
24.8  94
28.1  49
35.7  23
40.1  24
44.0  50
51.3  20
53.1  15
54.7  15

Crystal structure
```
data_WBr4O
_symmetry_space_group_name_H-M 'I 4/m'
_symmetry_Int_Tables_number 87
_symmetry_space_group_name_Hall '-I 4'
_cell_length_a 10.0507
_cell_length_b 10.0507
_cell_length_c 3.8441
_cell_angle_alpha 90.00
_cell_angle_beta 90.00
_cell_angle_gamma 90.00
loop_
_atom_site_label
_atom_site_fract_x
_atom_site_fract_y
_atom_site_fract_z
_atom_site_occupancy
W1 0.0000 0.0000 0.0000 1
Br1 0.0609 0.7589 0.0000 1
O1 0.0000 0.0000 0.5000 1
```



[3]
Ba4Y2Cu6NiO15: simulated X-ray diffraction stick pattern (Cu Ka), based on a PBE+U-relaxed structure.

Principal peaks in the range 2θ = 10–90°, by angle:
2θ/deg  intensity
31.1  20
32.5  100
33.6  32
46.4  28
46.8  17
57.7  20
58.8  10
59.4  12
68.0  16
77.7  10

Crystal structure
```
data_Ba4Y2Cu6NiO15
_symmetry_space_group_name_H-M 'A m m 2'
_symmetry_Int_Tables_number 38
_cell_length_a 3.9185
_cell_length_b 3.8852
_cell_length_c 50.8624
_cell_angle_alpha 90.00
_cell_angle_beta 90.00
_cell_angle_gamma 90.00
loop_
_symmetry_equiv_pos_as_xyz
'x,y,z'
'-x,-y,z'
'-x,y,z'
'x,-y,z'
'x,y+1/2,z+1/2'
'-x,-y+1/2,z+1/2'
'-x,y+1/2,z+1/2'
'x,-y+1/2,z+1/2'
loop_
_atom_site_label
_atom_site_fract_x
_atom_site_fract_y
_atom_site_fract_z
_atom_site_occupancy
Ba1 0.0000 0.0000 0.0000 1
Ba2 0.0000 0.0000 0.0839 1
Ba3 0.0000 0.0000 0.2303 1
Ba4 0.0000 0.0000 0.8537 1
Y1 0.0000 0.0000 0.1577 1
Y2 0.0000 0.0000 0.9266 1
Cu1 0.5000 0.0000 0.3119 1
Cu2 0.5000 0.0000 0.3932 1
Cu3 0.5000 0.0000 0.4602 1
Cu4 0.5000 0.0000 0.5418 1
Cu5 0.5000 0.0000 0.6233 1
Cu6 0.5000 0.0000 0.7709 1
Ni1 0.5000 0.0000 0.6931 1
O1 0.0000 0.0000 0.3977 1
O2 0.0000 0.0000 0.4541 1
O3 0.0000 0.0000 0.5418 1
O4 0.0000 0.0000 0.6295 1
O5 0.0000 0.0000 0.6860 1
O6 0.5000 0.0000 0.1290 1
O7 0.5000 0.0000 0.1852 1
O8 0.5000 0.0000 0.2747 1
O9 0.5000 0.0000 0.3482 1
O10 0.5000 0.0000 0.5049 1
O11 0.5000 0.0000 0.5787 1
O12 0.5000 0.0000 0.7340 1
O13 0.5000 0.0000 0.8081 1
O14 0.5000 0.0000 0.8985 1
O15 0.5000 0.0000 0.9545 1
```



[4]
Li7Fe3Si2O12: simulated X-ray diffraction stick pattern (Cu Ka), based on a PBE+U-relaxed structure.

Principal peaks in the range 2θ = 10–90°, by angle:
2θ/deg  intensity
18.3  100
36.2  10
36.6  31
39.3  12
44.0  91
57.7  14
63.2  24
64.8  23
68.0  12
81.7  10

Crystal structure
```
data_Li7Fe3Si2O12
_symmetry_space_group_name_H-M 'C 1 2/m 1'
_symmetry_Int_Tables_number 12
_cell_length_a 4.9808
_cell_length_b 8.6261
_cell_length_c 9.8612
_cell_angle_alpha 90.00
_cell_angle_beta 99.68
_cell_angle_gamma 90.00
loop_
_symmetry_equiv_pos_as_xyz
'x,y,z'
'-x,-y,-z'
'-x,y,-z'
'x,-y,z'
'x+1/2,y+1/2,z'
'-x+1/2,-y+1/2,-z'
'-x+1/2,y+1/2,-z'
'x+1/2,-y+1/2,z'
loop_
_atom_site_label
_atom_site_fract_x
_atom_site_fract_y
_atom_site_fract_z
_atom_site_occupancy
Li1 0.0000 0.0000 0.0000 1
Li2 0.2452 0.1640 0.2434 1
Li3 0.2472 0.0000 0.7566 1
Fe1 0.0000 0.1671 0.5000 1
Fe2 0.0000 0.5000 0.5000 1
Si1 0.0000 0.3333 0.0000 1
O1 0.0916 0.5000 0.8976 1
O2 0.1258 0.0000 0.3787 1
O3 0.1275 0.3336 0.3814 1
O4 0.1530 0.1872 0.8976 1
```



[5]
LiCo2P4H3O14: simulated X-ray diffraction stick pattern (Cu Ka), based on a PBE+U-relaxed structure.

Principal peaks in the range 2θ = 10–90°, by angle:
2θ/deg  intensity
11.7  41
12.3  100
13.5  16
21.0  42
25.3  16
26.3  30
27.3  76
28.7  20
30.8  19
31.9  37

Crystal structure
```
data_LiCo2P4H3O14
_symmetry_space_group_name_H-M 'C 1 c 1'
_symmetry_Int_Tables_number 9
_cell_length_a 11.0876
_cell_length_b 13.1337
_cell_length_c 8.9777
_cell_angle_alpha 90.00
_cell_angle_beta 122.97
_cell_angle_gamma 90.00
loop_
_symmetry_equiv_pos_as_xyz
'x,y,z'
'x,-y,z+1/2'
'x+1/2,y+1/2,z'
'x+1/2,-y+1/2,z+1/2'
loop_
_atom_site_label
_atom_site_fract_x
_atom_site_fract_y
_atom_site_fract_z
_atom_site_occupancy
Li1 0.0000 0.1418 0.0000 1
Co1 0.2478 0.2489 0.7383 1
Co2 0.4954 0.4075 0.9900 1
P1 0.0657 0.2840 0.3064 1
P2 0.2190 0.0460 0.9288 1
P3 0.2708 0.4528 0.5532 1
P4 0.4266 0.2132 0.1703 1
H1 0.1587 0.3989 0.9463 1
H2 0.2700 0.2532 0.2475 1
H3 0.3329 0.1024 0.5396 1
O1 0.0855 0.3116 0.7800 1
O2 0.0943 0.0308 0.9505 1
O3 0.1080 0.2166 0.4689 1
O4 0.1144 0.2414 0.1899 1
O5 0.1516 0.3905 0.3842 1
O6 0.1796 0.1050 0.7615 1
O7 0.1948 0.4465 0.0503 1
O8 0.2971 0.0539 0.4355 1
O9 0.3109 0.3948 0.7220 1
O10 0.3384 0.1092 0.1001 1
O11 0.3798 0.2585 0.2938 1
O12 0.3804 0.2827 0.0116 1
O13 0.3963 0.4693 0.5332 1
O14 0.4058 0.1873 0.7036 1
```



[6]
Mn2O3F: simulated X-ray diffraction stick pattern (Cu Ka), based on a PBE+U-relaxed structure.

Principal peaks in the range 2θ = 10–90°, by angle:
2θ/deg  intensity
27.1  85
28.2  92
35.7  100
39.5  14
40.6  17
53.7  50
54.9  54
55.9  16
61.6  17
69.2  35

Crystal structure
```
data_Mn2O3F
_symmetry_space_group_name_H-M 'C m c m'
_symmetry_Int_Tables_number 63
_symmetry_space_group_name_Hall '-C 2c 2'
_cell_length_a 6.3313
_cell_length_b 6.5778
_cell_length_c 6.0183
_cell_angle_alpha 90.00
_cell_angle_beta 90.00
_cell_angle_gamma 90.00
loop_
_atom_site_label
_atom_site_fract_x
_atom_site_fract_y
_atom_site_fract_z
_atom_site_occupancy
Mn1 0.0000 0.0000 0.0000 1
Mn2 0.0000 0.4756 0.2500 1
O1 0.0000 0.1871 0.2500 1
O2 0.1920 0.5000 0.0000 1
F1 0.0000 0.2203 0.7500 1
```



[7]
LiV2F9: simulated X-ray diffraction stick pattern (Cu Ka), based on a PBE+U-relaxed structure.

Principal peaks in the range 2θ = 10–90°, by angle:
2θ/deg  intensity
20.0  100
20.2  49
23.6  17
24.7  13
32.0  25
39.8  18
40.0  37
52.1  11
52.3  22
62.9  11

Crystal structure
```
data_LiV2F9
_symmetry_space_group_name_H-M 'C 1 c 1'
_symmetry_Int_Tables_number 9
_cell_length_a 8.8067
_cell_length_b 5.1275
_cell_length_c 14.4393
_cell_angle_alpha 90.00
_cell_angle_beta 90.09
_cell_angle_gamma 90.00
loop_
_symmetry_equiv_pos_as_xyz
'x,y,z'
'x,-y,z+1/2'
'x+1/2,y+1/2,z'
'x+1/2,-y+1/2,z+1/2'
loop_
_atom_site_label
_atom_site_fract_x
_atom_site_fract_y
_atom_site_fract_z
_atom_site_occupancy
Li1 0.0000 0.0029 0.0000 1
V1 0.3314 0.0003 0.3501 1
V2 0.3355 0.0025 0.1516 1
F1 0.1742 0.1298 0.9177 1
F2 0.1736 0.1393 0.5897 1
F3 0.1993 0.1450 0.2493 1
F4 0.3271 0.2697 0.7511 1
F5 0.3412 0.3069 0.4131 1
F6 0.3513 0.3035 0.0897 1
F7 0.4732 0.1259 0.2526 1
F8 0.4775 0.1764 0.9119 1
F9 0.4786 0.1697 0.5854 1
```